Calculated PXRD pattern
Compound: SrCaRuO4
Radiation: λ = 1.5418 Å (Cu Kα)
Structure: a structure optimized by DFT (GGA-PBE)
Peak positions follow from Bragg's law for the DFT cell and can differ from measured ones.

Top 10 peaks for 2θ from 15° to 90°, in order of rising 2θ:
2θ/deg	I_rel
24.00	17.1
31.42	100.0
32.63	66.2
42.86	19.6
43.18	19.8
46.82	37.1
55.15	22.2
57.48	36.3
65.57	20.3
68.37	10.8

Structure:
```
SrCaRuO4
1.0
-1.9403 1.9403 6.2859
1.9403 -1.9403 6.2859
1.9403 1.9403 -6.2859
Sr Ca Ru O
1 1 1 4
Direct
0.0000 0.0000 0.0000 Sr
0.7027 0.7027 0.0000 Ca
0.3506 0.3506 0.0000 Ru
0.1877 0.1877 0.0000 O
0.3474 0.8474 0.5000 O
0.5206 0.5206 0.0000 O
0.8474 0.3474 0.5000 O
```